# 1
Simulated PXRD pattern
Compound: Li6Mn5FeB6O18
Radiation: CuKα
Structure: DFT lattice parameters and positions (GGA+U)

Most intense lines, 2θ from 15° to 90°, low angle first:
2θ/deg, d (Å), Rel. int.
21.5, 4.135, 100
30.7, 2.913, 18
33.1, 2.707, 18
35.6, 2.525, 82
37.7, 2.387, 33
43.8, 2.067, 19
47.6, 1.911, 29
52.7, 1.735, 17
54.4, 1.685, 13
57.8, 1.594, 12

Atomic structure:
a b c (Å): 8.866 8.866 8.260
angles (deg): 117.73 117.73 42.15
Sites, in units of the cell vectors:
Li 0.090 0.591 0.416
Li 0.249 0.751 0.000
Li 0.384 0.883 0.681
Li 0.591 0.090 0.416
Li 0.751 0.249 0.000
Li 0.883 0.384 0.681
Mn 0.178 0.178 0.059
Mn 0.312 0.312 0.711
Mn 0.485 0.485 0.328
Mn 0.677 0.677 0.058
Mn 0.986 0.986 0.327
Fe 0.811 0.811 0.708
B 0.073 0.576 0.031
B 0.411 0.907 0.367
B 0.492 0.492 0.699
B 0.576 0.073 0.031
B 0.907 0.411 0.367
B 0.991 0.991 0.701
O 0.031 0.031 0.894
O 0.048 0.048 0.620
O 0.113 0.618 0.919
O 0.130 0.631 0.225
O 0.312 0.812 0.281
O 0.395 0.395 0.583
O 0.452 0.951 0.259
O 0.467 0.959 0.560
O 0.478 0.978 0.949
O 0.530 0.530 0.893
O 0.549 0.549 0.621
O 0.618 0.113 0.919
O 0.631 0.130 0.225
O 0.812 0.312 0.281
O 0.894 0.894 0.588
O 0.951 0.452 0.259
O 0.959 0.467 0.560
O 0.978 0.478 0.949

---

# 2
Simulated PXRD pattern
Compound: Li4Mn3FeB4O12
Radiation: CuKα
Structure: DFT lattice parameters and positions (GGA+U)

Most intense lines, 2θ from 15° to 90°, low angle first:
2θ/deg, d (Å), Rel. int.
20.4, 4.353, 80
20.6, 4.302, 21
22.1, 4.023, 32
22.5, 3.953, 60
33.2, 2.695, 100
34.0, 2.639, 32
34.2, 2.619, 24
34.7, 2.586, 30
40.0, 2.252, 25
40.8, 2.214, 53

Atomic structure:
a b c (Å): 5.175 6.250 8.072
angles (deg): 78.39 88.81 87.70
Sites, in units of the cell vectors:
Li 0.000 0.000 0.000
Li 0.169 0.959 0.696
Li 0.501 0.502 0.499
Li 0.670 0.462 0.198
Mn 0.180 0.222 0.338
Mn 0.488 0.236 0.858
Mn 0.680 0.724 0.840
Fe 0.996 0.735 0.360
B 0.182 0.575 0.017
B 0.488 0.883 0.183
B 0.683 0.073 0.515
B 0.985 0.388 0.680
O 0.041 0.491 0.162
O 0.076 0.736 0.891
O 0.094 0.227 0.803
O 0.124 0.476 0.533
O 0.227 0.951 0.198
O 0.440 0.501 0.001
O 0.542 0.991 0.662
O 0.575 0.235 0.391
O 0.601 0.727 0.308
O 0.626 0.970 0.036
O 0.727 0.459 0.696
O 0.940 0.000 0.499

---

# 3
Simulated PXRD pattern
Compound: Li8MnFe7B8O24
Radiation: CuKα
Structure: DFT lattice parameters and positions (GGA+U)

Most intense lines, 2θ from 15° to 90°, low angle first:
2θ/deg, d (Å), Rel. int.
19.6, 4.525, 69
21.4, 4.149, 37
21.6, 4.106, 67
25.7, 3.464, 45
26.5, 3.365, 29
34.3, 2.613, 87
34.5, 2.599, 100
40.5, 2.225, 46
48.7, 1.868, 28
61.4, 1.509, 24

Atomic structure:
a b c (Å): 5.222 9.064 10.400
angles (deg): 88.37 88.95 89.99
Sites, in units of the cell vectors:
Li 0.000 0.000 0.000
Li 0.019 0.995 0.499
Li 0.335 0.341 0.251
Li 0.364 0.332 0.752
Li 0.497 0.498 0.999
Li 0.520 0.494 0.499
Li 0.832 0.840 0.249
Li 0.864 0.832 0.753
Mn 0.014 0.666 0.468
Fe 0.007 0.337 0.968
Fe 0.348 0.009 0.218
Fe 0.366 0.669 0.716
Fe 0.499 0.836 0.967
Fe 0.516 0.168 0.470
Fe 0.839 0.507 0.217
Fe 0.862 0.168 0.718
B 0.010 0.332 0.459
B 0.013 0.667 0.959
B 0.344 0.668 0.209
B 0.352 0.002 0.710
B 0.512 0.836 0.461
B 0.516 0.166 0.960
B 0.848 0.168 0.210
B 0.853 0.501 0.713
O 0.087 0.677 0.249
O 0.088 0.990 0.698
O 0.274 0.341 0.447
O 0.277 0.654 0.931
O 0.359 0.958 0.430
O 0.377 0.042 0.001
O 0.393 0.301 0.946
O 0.402 0.703 0.503
O 0.460 0.531 0.197
O 0.471 0.137 0.680
O 0.484 0.796 0.181
O 0.495 0.879 0.750
O 0.589 0.490 0.700
O 0.591 0.179 0.249
O 0.775 0.847 0.446
O 0.778 0.154 0.930
O 0.860 0.455 0.429
O 0.873 0.541 0.999
O 0.893 0.200 0.501
O 0.894 0.802 0.946
O 0.961 0.031 0.197
O 0.974 0.635 0.684
O 0.990 0.296 0.181
O 0.995 0.377 0.750

---

# 4
Simulated PXRD pattern
Compound: Li2MnFeB2O6
Radiation: CuKα
Structure: DFT lattice parameters and positions (GGA+U)

Most intense lines, 2θ from 15° to 90°, low angle first:
2θ/deg, d (Å), Rel. int.
20.3, 4.367, 80
22.2, 3.997, 35
22.6, 3.941, 61
33.7, 2.657, 100
34.2, 2.624, 59
34.7, 2.588, 24
38.0, 2.366, 24
40.2, 2.244, 26
41.0, 2.202, 33
61.8, 1.501, 24

Atomic structure:
a b c (Å): 5.180 5.996 9.133
angles (deg): 75.90 89.90 66.77
Sites, in units of the cell vectors:
Li 0.004 0.325 0.436
Li 0.493 0.678 0.061
Li 0.507 0.322 0.939
Li 0.996 0.675 0.564
Mn 0.463 0.766 0.373
Mn 0.537 0.234 0.627
Fe 0.034 0.240 0.120
Fe 0.966 0.760 0.880
B 0.024 0.258 0.791
B 0.478 0.736 0.713
B 0.522 0.264 0.287
B 0.976 0.742 0.209
O 0.111 0.297 0.647
O 0.139 0.316 0.907
O 0.189 0.830 0.181
O 0.303 0.181 0.311
O 0.367 0.679 0.595
O 0.382 0.702 0.854
O 0.618 0.298 0.146
O 0.633 0.321 0.405
O 0.697 0.819 0.689
O 0.811 0.170 0.819
O 0.861 0.684 0.093
O 0.889 0.703 0.353

---

# 5
Simulated PXRD pattern
Compound: Li8MnFe7B8O24
Radiation: CuKα
Structure: DFT lattice parameters and positions (GGA+U)

Most intense lines, 2θ from 15° to 90°, low angle first:
2θ/deg, d (Å), Rel. int.
20.4, 4.351, 80
22.3, 3.979, 37
22.6, 3.929, 62
33.8, 2.653, 100
34.3, 2.617, 60
34.8, 2.581, 23
38.2, 2.355, 24
40.3, 2.236, 26
41.1, 2.198, 33
62.0, 1.497, 27

Atomic structure:
a b c (Å): 5.994 8.986 9.732
angles (deg): 81.22 79.68 77.21
Sites, in units of the cell vectors:
Li 0.000 0.000 0.000
Li 0.055 0.069 0.593
Li 0.248 0.500 0.749
Li 0.306 0.567 0.344
Li 0.498 0.999 0.497
Li 0.555 0.067 0.093
Li 0.747 0.499 0.249
Li 0.808 0.566 0.845
Mn 0.316 0.826 0.775
Fe 0.067 0.325 0.022
Fe 0.238 0.243 0.321
Fe 0.490 0.737 0.074
Fe 0.566 0.325 0.522
Fe 0.739 0.237 0.822
Fe 0.815 0.829 0.271
Fe 0.990 0.739 0.571
B 0.007 0.401 0.574
B 0.043 0.665 0.021
B 0.259 0.901 0.324
B 0.295 0.168 0.767
B 0.509 0.399 0.074
B 0.545 0.665 0.517
B 0.760 0.900 0.824
B 0.797 0.167 0.269
O 0.094 0.548 0.937
O 0.121 0.170 0.884
O 0.140 0.780 0.359
O 0.162 0.788 0.988
O 0.181 0.398 0.458
O 0.211 0.020 0.406
O 0.342 0.052 0.683
O 0.368 0.668 0.632
O 0.390 0.277 0.110
O 0.415 0.290 0.733
O 0.435 0.898 0.207
O 0.459 0.518 0.156
O 0.595 0.546 0.434
O 0.623 0.169 0.385
O 0.642 0.778 0.861
O 0.666 0.786 0.483
O 0.685 0.397 0.958
O 0.711 0.019 0.907
O 0.844 0.048 0.186
O 0.866 0.668 0.136
O 0.887 0.280 0.610
O 0.916 0.288 0.232
O 0.933 0.898 0.707
O 0.959 0.519 0.657

---

# 6
Simulated PXRD pattern
Compound: Li4MnFe3B4O12
Radiation: CuKα
Structure: DFT lattice parameters and positions (GGA+U)

Most intense lines, 2θ from 15° to 90°, low angle first:
2θ/deg, d (Å), Rel. int.
19.6, 4.532, 67
21.4, 4.156, 39
21.5, 4.129, 64
25.8, 3.450, 45
26.3, 3.389, 31
34.3, 2.617, 86
34.4, 2.603, 100
40.7, 2.219, 33
54.1, 1.696, 26
61.4, 1.511, 34

Atomic structure:
a b c (Å): 5.237 9.060 10.416
angles (deg): 89.12 89.14 89.94
Sites, in units of the cell vectors:
Li 0.000 0.000 0.000
Li 0.018 0.994 0.500
Li 0.330 0.339 0.251
Li 0.364 0.328 0.753
Li 0.496 0.498 0.000
Li 0.516 0.492 0.500
Li 0.829 0.841 0.252
Li 0.864 0.831 0.752
Mn 0.009 0.665 0.466
Mn 0.357 0.667 0.719
Fe 0.001 0.334 0.967
Fe 0.335 0.008 0.217
Fe 0.514 0.167 0.469
Fe 0.517 0.835 0.971
Fe 0.835 0.506 0.216
Fe 0.861 0.166 0.716
B 0.005 0.331 0.458
B 0.015 0.665 0.961
B 0.341 0.668 0.209
B 0.354 0.000 0.711
B 0.507 0.836 0.459
B 0.512 0.165 0.960
B 0.841 0.168 0.210
B 0.850 0.496 0.710
O 0.085 0.678 0.247
O 0.090 0.988 0.698
O 0.268 0.339 0.445
O 0.275 0.654 0.933
O 0.354 0.958 0.429
O 0.373 0.040 0.001
O 0.392 0.300 0.946
O 0.396 0.703 0.501
O 0.456 0.530 0.196
O 0.472 0.134 0.680
O 0.483 0.795 0.181
O 0.498 0.880 0.752
O 0.586 0.177 0.249
O 0.589 0.482 0.695
O 0.770 0.847 0.445
O 0.774 0.152 0.931
O 0.855 0.454 0.428
O 0.875 0.540 0.000
O 0.890 0.200 0.501
O 0.893 0.799 0.947
O 0.956 0.031 0.196
O 0.966 0.632 0.681
O 0.982 0.295 0.181
O 0.997 0.375 0.749